Entry 1:
The following is a computed PXRD pattern of Sm4YMg5. It was derived from a PBE-relaxed structure, using copper Kα.
Peak positions follow from Bragg's law for the DFT cell and can differ from measured ones.

Main lines, in order of falling intensity (15° ≤ 2θ ≤ 90°):
d_spacing  I/Imax
2.714  100
3.838  57
1.566  25
2.216  18
1.715  16
1.569  12
1.917  12
1.213  11
1.720  8
1.358  8

Cell and atoms:
Cell lengths 3.8336, 3.8336, 19.2409 Å; angles 90.00, 90.00, 90.00 degrees
Fractional coordinates of all 10 atoms:
Sm 0.0000 0.0000 0.1009
Sm 0.0000 0.0000 0.3018
Sm 0.0000 0.0000 0.6982
Sm 0.0000 0.0000 0.8991
Y 0.0000 0.0000 0.5000
Mg 0.5000 0.5000 0.0000
Mg 0.5000 0.5000 0.2016
Mg 0.5000 0.5000 0.4028
Mg 0.5000 0.5000 0.5972
Mg 0.5000 0.5000 0.7984

Entry 2:
The following is a computed PXRD pattern of Pm4DyPb4. It was derived from a PBE-relaxed structure, using copper Kα.
Peak positions follow from Bragg's law for the DFT cell and can differ from measured ones.

Main lines, in order of falling intensity (15° ≤ 2θ ≤ 90°):
d_spacing  I/Imax
3.042  100
2.592  51
3.077  43
2.062  34
2.151  31
1.895  30
1.565  19
1.433  17
1.363  13
5.384  11

Cell and atoms:
Cell lengths 9.6190, 9.6190, 6.4963 Å; angles 90.00, 90.00, 90.00 degrees
Fractional coordinates of all 18 atoms:
Pm 0.0287 0.6683 0.1240
Pm 0.1683 0.9713 0.6240
Pm 0.3317 0.5287 0.6240
Pm 0.4713 0.8317 0.1240
Pm 0.5287 0.1683 0.8760
Pm 0.6683 0.4713 0.3760
Pm 0.8317 0.0287 0.3760
Pm 0.9713 0.3317 0.8760
Dy 0.2500 0.2500 0.2500
Dy 0.7500 0.7500 0.7500
Pb 0.0295 0.6521 0.6167
Pb 0.1521 0.9705 0.1167
Pb 0.3479 0.5295 0.1167
Pb 0.4705 0.8479 0.6167
Pb 0.5295 0.1521 0.3833
Pb 0.6521 0.4705 0.8833
Pb 0.8479 0.0295 0.8833
Pb 0.9705 0.3479 0.3833

Entry 3:
The following is a computed PXRD pattern of NdSm3Mg. It was derived from a PBE-relaxed structure, using copper Kα.
Peak positions follow from Bragg's law for the DFT cell and can differ from measured ones.

Main lines, in order of falling intensity (15° ≤ 2θ ≤ 90°):
d_spacing  I/Imax
2.810  100
2.820  81
2.857  44
2.948  44
1.641  36
2.052  31
1.492  23
1.602  21
1.934  19
1.498  12

Cell and atoms:
Cell lengths 8.7725, 8.7725, 8.7725 Å; angles 156.87, 141.98, 44.97 degrees
Fractional coordinates of all 5 atoms:
Nd 0.0000 0.0000 0.0000
Sm 0.2113 0.7113 0.5000
Sm 0.5998 0.5998 0.0000
Sm 0.7905 0.2905 0.5000
Mg 0.3996 0.3996 0.0000

Entry 4:
The following is a computed PXRD pattern of SmSbAs. It was derived from a PBE-relaxed structure, using copper Kα.
Peak positions follow from Bragg's law for the DFT cell and can differ from measured ones.

Main lines, in order of falling intensity (15° ≤ 2θ ≤ 90°):
d_spacing  I/Imax
3.059  100
2.987  79
2.750  73
2.531  62
2.045  62
2.137  61
1.950  57
1.261  25
3.900  20
1.419  19

Cell and atoms:
Cell lengths 4.4299, 4.4299, 8.2511 Å; angles 90.00, 90.00, 92.66 degrees
Fractional coordinates of all 6 atoms:
Sm 0.2500 0.7500 0.8324
Sm 0.7500 0.2500 0.1676
Sb 0.0000 0.0000 0.5000
Sb 0.5000 0.5000 0.5000
As 0.2500 0.7500 0.1862
As 0.7500 0.2500 0.8138